The following is a theoretical PXRD pattern of Li2Bi5B3O13. It was derived from a cell relaxed with PBE, using Cu Kα X-rays.

Most intense lines, 10 to 90 degrees two-theta, by angle:
hkl  2theta  d/Å  I/Imax
2 0 1  19.1  4.647  35
1 0 -4  21.9  4.056  41
2 0 3  26.6  3.346  42
1 1 -2  26.9  3.314  56
1 0 -5  27.3  3.272  37
2 1 -1  29.2  3.062  100
2 1 -2  30.0  2.977  71
1 1 3  31.6  2.827  68
4 1 2  46.0  1.972  37
0 2 0  48.8  1.865  36

Structural model:
Lattice parameters (Å, degrees): 10.7598 3.7305 16.3968 90.00 103.80 90.00
Fractional coordinates of all 46 atoms:
Li1 0.1099 0.2500 0.0551
Li2 0.2865 0.7500 0.2679
Li3 0.7135 0.2500 0.7321
Li4 0.8901 0.7500 0.9449
Bi1 0.0285 0.2500 0.2982
Bi2 0.1406 0.2500 0.5621
Bi3 0.3165 0.2500 0.7996
Bi4 0.3522 0.7500 0.0059
Bi5 0.4662 0.7500 0.6237
Bi6 0.5338 0.2500 0.3763
Bi7 0.6478 0.2500 0.9941
Bi8 0.6835 0.7500 0.2004
Bi9 0.8594 0.7500 0.4379
Bi10 0.9715 0.7500 0.7018
B1 0.0955 0.7500 0.8972
B2 0.2851 0.7500 0.4235
B3 0.4051 0.2500 0.1840
B4 0.5949 0.7500 0.8160
B5 0.7149 0.2500 0.5765
B6 0.9045 0.2500 0.1028
O1 0.0152 0.7500 0.5686
O2 0.0258 0.2500 0.1528
O3 0.1032 0.2500 0.7037
O4 0.1179 0.7500 0.9841
O5 0.1868 0.7500 0.3503
O6 0.2067 0.7500 0.8626
O7 0.2610 0.7500 0.5030
O8 0.3238 0.2500 0.1058
O9 0.3560 0.2500 0.2557
O10 0.3613 0.2500 0.6617
O11 0.4107 0.7500 0.4153
O12 0.4174 0.2500 0.9414
O13 0.4600 0.7500 0.8024
O14 0.5400 0.2500 0.1976
O15 0.5826 0.7500 0.0586
O16 0.5893 0.2500 0.5847
O17 0.6387 0.7500 0.3383
O18 0.6440 0.7500 0.7443
O19 0.6762 0.7500 0.8942
O20 0.7390 0.2500 0.4970
O21 0.7933 0.2500 0.1374
O22 0.8132 0.2500 0.6497
O23 0.8821 0.2500 0.0159
O24 0.8968 0.7500 0.2963
O25 0.9742 0.7500 0.8472
O26 0.9848 0.2500 0.4314